Structure and simulated X-ray diffraction stick pattern of Ag2TeO4 (DFT lattice parameters and positions (GGA-PBE); Cu Ka).

Atomic structure:
abc: 6.2098 6.2401 7.3132
angles: 103.50 103.99 116.18
Element x y z (fractional)
Ag 0.0000 0.0000 0.0000
Ag 0.0496 0.9427 0.4970
Ag 0.3032 0.6924 0.9982
Ag 0.7413 0.2437 0.4971
Te 0.3981 0.5944 0.4998
Te 0.6476 0.3485 0.9978
O 0.2081 0.6230 0.6566
O 0.2655 0.2468 0.3441
O 0.2995 0.2202 0.8400
O 0.3700 0.7820 0.3394
O 0.6657 0.1549 0.1548
O 0.7481 0.7256 0.6570
O 0.7811 0.6965 0.1542
O 0.8400 0.3217 0.8421

Principal peaks in the range 2θ = 5–70°, low angle first:
- 2θ = 27.30°, 3.266 Å, intensity 62, (0 0 2)
- 2θ = 29.50°, 3.028 Å, intensity 60, (1 -2 1)
- 2θ = 29.63°, 3.015 Å, intensity 61, (2 -1 0)
- 2θ = 30.42°, 2.939 Å, intensity 100, (1 1 0)
- 2θ = 45.20°, 2.006 Å, intensity 21, (-2 1 3)
- 2θ = 45.51°, 1.993 Å, intensity 22, (2 -1 2)

=====

Structure and simulated X-ray diffraction stick pattern of NdRu3 (DFT lattice parameters and positions (GGA-PBE); Cu Ka).

Atomic structure:
abc: 5.2217 5.2217 3.1613
angles: 90.00 90.00 120.00
Element x y z (fractional)
Nd 0.0000 0.0000 0.0000
Ru 0.0000 0.5000 0.5000
Ru 0.5000 0.0000 0.5000
Ru 0.5000 0.5000 0.5000

Principal peaks in the range 2θ = 5–70°, low angle first:
- 2θ = 34.62°, 2.591 Å, intensity 88, (1 0 1)
- 2θ = 39.87°, 2.261 Å, intensity 100, (2 0 0)
- 2θ = 45.03°, 2.013 Å, intensity 42, (1 1 1)
- 2θ = 49.57°, 1.839 Å, intensity 14, (2 0 1)
- 2θ = 61.69°, 1.504 Å, intensity 33, (2 1 1)
- 2θ = 69.03°, 1.361 Å, intensity 12, (3 0 1)

=====

Structure and simulated X-ray diffraction stick pattern of Al2Cu (DFT lattice parameters and positions (GGA-PBE); Cu Ka).

Atomic structure:
abc: 6.0798 6.0798 4.8186
angles: 90.00 90.00 90.00
Element x y z (fractional)
Al 0.1576 0.3424 0.0000
Al 0.1576 0.6576 0.5000
Al 0.3424 0.1576 0.5000
Al 0.3424 0.8424 0.0000
Al 0.6576 0.1576 0.0000
Al 0.6576 0.8424 0.5000
Al 0.8424 0.3424 0.5000
Al 0.8424 0.6576 0.0000
Cu 0.0000 0.0000 0.2500
Cu 0.0000 0.0000 0.7500
Cu 0.5000 0.5000 0.2500
Cu 0.5000 0.5000 0.7500

Principal peaks in the range 2θ = 5–70°, low angle first:
- 2θ = 20.66°, 4.299 Å, intensity 100, (1 1 0)
- 2θ = 29.38°, 3.040 Å, intensity 35, (2 0 0)
- 2θ = 38.00°, 2.368 Å, intensity 52, (2 1 1)
- 2θ = 43.04°, 2.102 Å, intensity 77, (1 1 2)
- 2θ = 47.28°, 1.923 Å, intensity 76, (3 1 0)
- 2θ = 48.19°, 1.888 Å, intensity 61, (2 0 2)

=====

Structure and simulated X-ray diffraction stick pattern of Mg2Ge (DFT lattice parameters and positions (GGA-PBE); Cu Ka).

Atomic structure:
abc: 6.4254 6.4254 6.4254
angles: 90.00 90.00 90.00
Element x y z (fractional)
Mg 0.2500 0.2500 0.2500
Mg 0.2500 0.2500 0.7500
Mg 0.2500 0.7500 0.2500
Mg 0.2500 0.7500 0.7500
Mg 0.7500 0.2500 0.2500
Mg 0.7500 0.2500 0.7500
Mg 0.7500 0.7500 0.2500
Mg 0.7500 0.7500 0.7500
Ge 0.0000 0.0000 0.0000
Ge 0.0000 0.5000 0.5000
Ge 0.5000 0.0000 0.5000
Ge 0.5000 0.5000 0.0000

Principal peaks in the range 2θ = 5–70°, low angle first:
- 2θ = 23.99°, 3.710 Å, intensity 89, (1 1 1)
- 2θ = 27.77°, 3.213 Å, intensity 4, (2 0 0)
- 2θ = 39.67°, 2.272 Å, intensity 100, (2 2 0)
- 2θ = 46.90°, 1.937 Å, intensity 43, (3 1 1)
- 2θ = 57.36°, 1.606 Å, intensity 16, (4 0 0)
- 2θ = 63.06°, 1.474 Å, intensity 18, (3 3 1)

=====

Structure and simulated X-ray diffraction stick pattern of NiGePd (DFT lattice parameters and positions (GGA-PBE); Cu Ka).

Atomic structure:
abc: 3.6352 3.6352 6.3084
angles: 90.00 90.00 90.00
Element x y z (fractional)
Ni 0.2500 0.7500 0.0000
Ni 0.7500 0.2500 0.0000
Ge 0.2500 0.2500 0.2452
Ge 0.7500 0.7500 0.7548
Pd 0.2500 0.2500 0.6394
Pd 0.7500 0.7500 0.3606

Principal peaks in the range 2θ = 5–70°, low angle first:
- 2θ = 34.90°, 2.570 Å, intensity 29, (1 1 0)
- 2θ = 37.78°, 2.381 Å, intensity 100, (1 1 1)
- 2θ = 43.01°, 2.103 Å, intensity 13, (0 0 3)
- 2θ = 45.52°, 1.993 Å, intensity 50, (1 1 2)
- 2θ = 50.17°, 1.819 Å, intensity 69, (2 0 0)
- 2θ = 64.47°, 1.445 Å, intensity 18, (2 1 2)

=====

Structure and simulated X-ray diffraction stick pattern of Mg16Si8HO32 (DFT lattice parameters and positions (GGA-PBE); Cu Ka).

Atomic structure:
abc: 9.6689 6.0739 10.4723
angles: 90.00 90.88 90.00
Element x y z (fractional)
Mg 0.0000 0.0000 0.0000
Mg 0.0011 0.2582 0.7169
Mg 0.0011 0.7418 0.7169
Mg 0.2369 0.0000 0.4981
Mg 0.2399 0.2573 0.2259
Mg 0.2399 0.7427 0.2259
Mg 0.2493 0.5000 0.9432
Mg 0.4775 0.0000 0.0229
Mg 0.4895 0.2614 0.7092
Mg 0.4895 0.7386 0.7092
Mg 0.4941 0.5000 0.4390
Mg 0.7418 0.0000 0.4942
Mg 0.7429 0.2547 0.2183
Mg 0.7429 0.7452 0.2183
Mg 0.7446 0.5000 0.9402
Mg 0.9871 0.5000 0.4406
Si 0.0292 0.5000 0.1250
Si 0.2078 0.5000 0.6225
Si 0.2830 0.0000 0.8141
Si 0.4550 0.0000 0.3212
Si 0.5285 0.5000 0.1282
Si 0.7091 0.5000 0.6242
Si 0.7979 0.0000 0.8031
Si 0.9556 0.0000 0.3133
H 0.5927 0.0000 0.8691
O 0.1015 0.5000 0.2723
O 0.1046 0.2887 0.0585
O 0.1046 0.7113 0.0585
O 0.1135 0.0000 0.8123
O 0.1247 0.0000 0.3148
O 0.1324 0.2786 0.5552
O 0.1324 0.7214 0.5552
O 0.1390 0.5000 0.7689
O 0.3530 0.0000 0.6679
O 0.3583 0.2218 0.8824
O 0.3583 0.7782 0.8824
O 0.3589 0.5000 0.1322
O 0.3724 0.0000 0.1785
O 0.3766 0.5000 0.6224
O 0.3824 0.2123 0.3879
O 0.3824 0.7877 0.3879
O 0.6005 0.2874 0.0594
O 0.6005 0.7126 0.0594
O 0.6058 0.5000 0.2727
O 0.6237 0.0000 0.3117
O 0.6241 0.0000 0.7746
O 0.6324 0.5000 0.7679
O 0.6347 0.2793 0.5538
O 0.6347 0.7207 0.5538
O 0.8579 0.2242 0.8768
O 0.8579 0.7758 0.8768
O 0.8596 0.5000 0.1246
O 0.8684 0.0000 0.6603
O 0.8786 0.5000 0.6272
O 0.8813 0.2113 0.3805
O 0.8813 0.7887 0.3805
O 0.8825 0.0000 0.1670

Principal peaks in the range 2θ = 5–70°, low angle first:
- 2θ = 22.42°, 3.966 Å, intensity 100, (0 1 2)
- 2θ = 34.76°, 2.581 Å, intensity 63, (2 1 -3)
- 2θ = 35.20°, 2.550 Å, intensity 64, (2 1 3)
- 2θ = 35.89°, 2.502 Å, intensity 84, (2 2 -1)
- 2θ = 36.03°, 2.493 Å, intensity 81, (2 2 1)
- 2θ = 61.26°, 1.513 Å, intensity 66, (0 2 6)

=====

Structure and simulated X-ray diffraction stick pattern of ZrAlNi2 (DFT lattice parameters and positions (GGA-PBE); Cu Ka).

Atomic structure:
abc: 2.8889 2.8889 6.7021
angles: 90.00 90.00 90.00
Element x y z (fractional)
Zr 0.0000 0.0000 0.0000
Al 0.0000 0.0000 0.5000
Ni 0.5000 0.5000 0.2891
Ni 0.5000 0.5000 0.7109

Principal peaks in the range 2θ = 5–70°, low angle first:
- 2θ = 33.79°, 2.653 Å, intensity 31, (1 0 1)
- 2θ = 40.37°, 2.234 Å, intensity 11, (0 0 3)
- 2θ = 41.26°, 2.188 Å, intensity 100, (1 0 2)
- 2θ = 44.34°, 2.043 Å, intensity 46, (1 1 0)
- 2θ = 61.51°, 1.508 Å, intensity 12, (1 1 3)
- 2θ = 64.51°, 1.444 Å, intensity 14, (2 0 0)

=====

Structure and simulated X-ray diffraction stick pattern of HoGa2Ni (DFT lattice parameters and positions (GGA-PBE); Cu Ka).

Atomic structure:
abc: 4.1155 10.1127 6.6427
angles: 90.00 90.00 90.00
Element x y z (fractional)
Ho 0.0000 0.0720 0.2500
Ho 0.0000 0.9280 0.7500
Ho 0.5000 0.4280 0.7500
Ho 0.5000 0.5720 0.2500
Ga 0.0000 0.3558 0.0543
Ga 0.0000 0.3558 0.4457
Ga 0.0000 0.6442 0.5543
Ga 0.0000 0.6442 0.9457
Ga 0.5000 0.1442 0.5543
Ga 0.5000 0.1442 0.9457
Ga 0.5000 0.8558 0.0543
Ga 0.5000 0.8558 0.4457
Ni 0.0000 0.2094 0.7500
Ni 0.0000 0.7906 0.2500
Ni 0.5000 0.2906 0.2500
Ni 0.5000 0.7094 0.7500

Principal peaks in the range 2θ = 5–70°, low angle first:
- 2θ = 35.86°, 2.504 Å, intensity 100, (1 1 2)
- 2θ = 37.03°, 2.427 Å, intensity 86, (1 3 1)
- 2θ = 38.09°, 2.363 Å, intensity 44, (0 4 1)
- 2θ = 44.00°, 2.058 Å, intensity 36, (2 0 0)
- 2θ = 44.68°, 2.028 Å, intensity 24, (0 2 3)
- 2θ = 59.58°, 1.552 Å, intensity 23, (2 4 1)

=====

What did the third record say?
Structure and simulated X-ray diffraction stick pattern of Al2Cu (DFT lattice parameters and positions (GGA-PBE); Cu Ka).

Atomic structure:
abc: 6.0798 6.0798 4.8186
angles: 90.00 90.00 90.00
Element x y z (fractional)
Al 0.1576 0.3424 0.0000
Al 0.1576 0.6576 0.5000
Al 0.3424 0.1576 0.5000
Al 0.3424 0.8424 0.0000
Al 0.6576 0.1576 0.0000
Al 0.6576 0.8424 0.5000
Al 0.8424 0.3424 0.5000
Al 0.8424 0.6576 0.0000
Cu 0.0000 0.0000 0.2500
Cu 0.0000 0.0000 0.7500
Cu 0.5000 0.5000 0.2500
Cu 0.5000 0.5000 0.7500

Principal peaks in the range 2θ = 5–70°, low angle first:
- 2θ = 20.66°, 4.299 Å, intensity 100, (1 1 0)
- 2θ = 29.38°, 3.040 Å, intensity 35, (2 0 0)
- 2θ = 38.00°, 2.368 Å, intensity 52, (2 1 1)
- 2θ = 43.04°, 2.102 Å, intensity 77, (1 1 2)
- 2θ = 47.28°, 1.923 Å, intensity 76, (3 1 0)
- 2θ = 48.19°, 1.888 Å, intensity 61, (2 0 2)